Starting from a structure optimized by DFT (GGA-PBE), the X-ray powder pattern of CeIn2Br8 was computed for Cu Ka.
No peak broadening, texture or thermal motion is included.

Principal peaks in the range 2θ = 5–70°, by angle:
index	d (Å)	2θ/deg	intensity
1 1 0	7.667	11.5	740
1 1 1	5.007	17.7	332
2 0 1	4.641	19.1	338
0 2 0	4.571	19.4	337
0 0 2	3.577	24.9	336
2 2 -1	3.516	25.3	1000
3 1 1	3.391	26.3	370
2 2 -2	2.744	32.6	519
2 2 -3	2.114	42.8	293
5 3 0	2.068	43.8	340

Atomic structure:
```
data_CeIn2Br8
_space_group_name_H-M_alt 'C 1 2/m 1'
_space_group_IT_number 12
_space_group_name_Hall '-C 2y'
_cell_length_a 14.277
_cell_length_b 9.142
_cell_length_c 7.259
_cell_angle_alpha 90.00
_cell_angle_beta 99.70
_cell_angle_gamma 90.00
loop_
_atom_site_label
_atom_site_type_symbol
_atom_site_fract_x
_atom_site_fract_y
_atom_site_fract_z
Ce1 Ce 0.000 0.000 0.000
In1 In 0.197 0.000 0.651
Br1 Br 0.092 0.210 0.776
Br2 Br 0.128 0.500 0.214
Br3 Br 0.178 0.000 0.273
```